Diffraction record for V4Cd3P6O24. The X-ray diffraction stick pattern is simulated, not measured: it uses a structure optimized by DFT (PBE+U) and CuKα.
Intensities are scaled so that the largest is 100.

a = 6.5652 Å, b = 8.8297 Å, c = 8.9919 Å
α = 90.12°, β = 108.04°, γ = 106.99°
Space group P-1 (No. 2)
Symmetry-distinct sites (fractional):
V (0.1318, 0.0654, 0.3823) (multiplicity 2)
V (0.3644, 0.6209, 0.9314) (multiplicity 2)
Cd (0.2432, 0.7463, 0.2525) (multiplicity 2)
Cd (0.5000, 0.5000, 0.5000) (multiplicity 1)
P (0.1447, 0.3553, 0.1424) (multiplicity 2)
P (0.2530, 0.2822, 0.7242) (multiplicity 2)
P (0.3678, 0.8541, 0.6409) (multiplicity 2)
O (0.0410, 0.1524, 0.7388) (multiplicity 2)
O (0.0896, 0.6585, 0.9773) (multiplicity 2)
O (0.1462, 0.1957, 0.2090) (multiplicity 2)
O (0.1781, 0.9397, 0.5817) (multiplicity 2)
O (0.2119, 0.4841, 0.2802) (multiplicity 2)
O (0.2297, 0.4478, 0.7476) (multiplicity 2)
O (0.2738, 0.2599, 0.5576) (multiplicity 2)
O (0.3215, 0.4071, 0.0525) (multiplicity 2)
O (0.3291, 0.7175, 0.5203) (multiplicity 2)
O (0.3592, 0.7947, 0.8002) (multiplicity 2)
O (0.4029, 0.0155, 0.3388) (multiplicity 2)
O (0.4690, 0.2625, 0.8479) (multiplicity 2)

Largest 6 diffraction maxima, sorted by position, 15 to 90 degrees two-theta:
hkl  2θ/deg  d [Å]  I (rel.)
1 0 -1  15.17  5.839  69
1 1 0  20.83  4.265  97
2 0 -2  30.62  2.920  39
0 2 2  31.42  2.847  100
0 1 -3  32.28  2.773  85
0 3 -1  32.63  2.744  78

Diffraction record for V2CdP4O14. The X-ray diffraction stick pattern is simulated, not measured: it uses a structure optimized by DFT (PBE+U) and CuKα.
Intensities are scaled so that the largest is 100.

a = 4.8886 Å, b = 7.0737 Å, c = 7.9596 Å
α = 89.47°, β = 87.03°, γ = 73.61°
Space group P-1 (No. 2)
Symmetry-distinct sites (fractional):
V (0.0000, 0.0000, 0.0000) (multiplicity 1)
V (0.5000, 0.5000, 0.5000) (multiplicity 1)
Cd (0.0000, 0.0000, 0.5000) (multiplicity 1)
P (0.0209, 0.3853, 0.7481) (multiplicity 2)
P (0.3859, 0.2099, 0.2217) (multiplicity 2)
O (0.0689, 0.2270, 0.8792) (multiplicity 2)
O (0.1164, 0.6727, 0.4097) (multiplicity 2)
O (0.1764, 0.0808, 0.2320) (multiplicity 2)
O (0.2104, 0.4293, 0.1688) (multiplicity 2)
O (0.2915, 0.4442, 0.7032) (multiplicity 2)
O (0.3876, 0.8477, 0.9186) (multiplicity 2)
O (0.4988, 0.7739, 0.6025) (multiplicity 2)

Largest 6 diffraction maxima, sorted by position, 15 to 90 degrees two-theta:
hkl  2θ/deg  d [Å]  I (rel.)
1 1 -1  23.18  3.837  78
1 -1 0  25.95  3.433  77
1 -1 1  27.92  3.196  55
0 2 1  28.66  3.114  52
1 1 2  29.32  3.046  100
1 1 -2  30.71  2.912  51